1.
The following is a simulated X-ray diffraction stick pattern of Cs2HgH2Cl6. It was derived from the PBE geometry in Alexandria, using λ = 1.5418 Å (Cu Kα).
Kinematic intensities with the Lorentz-polarization factor, no thermal factor.

The 10 most intense peaks (2θ = 5–70°), low angle first:
2θ = 15.26°, I 72; 2θ = 22.40°, I 86; 2θ = 25.53°, I 83; 2θ = 25.79°, I 84; 2θ = 34.22°, I 100; 2θ = 39.70°, I 27; 2θ = 43.18°, I 35; 2θ = 45.71°, I 35; 2θ = 46.75°, I 44; 2θ = 52.46°, I 32

Structural model:
```
11
Lattice="3.4884 2.0140 7.0184 -3.4884 2.0140 7.0184 0.0000 -4.0281 7.0184" Properties=species:S:1:pos:R:3 pbc="T T T"
Cs 0.0000 0.0000 4.8268
Cs 0.0000 0.0000 16.2283
Hg 0.0000 0.0000 0.0000
H 0.0000 0.0000 8.5695
H 0.0000 0.0000 12.4856
Cl 0.0000 -1.8383 8.6603
Cl -1.5920 0.9192 8.6603
Cl -1.5920 -0.9191 12.3948
Cl 1.5920 0.9191 8.6603
Cl 1.5920 -0.9191 12.3948
Cl 0.0000 1.8383 12.3948
```


2.
The following is a simulated X-ray diffraction stick pattern of BaAg6O4. It was derived from the PBE geometry in Alexandria, using λ = 1.5418 Å (Cu Kα).
Kinematic intensities with the Lorentz-polarization factor, no thermal factor.

The 10 most intense peaks (2θ = 5–70°), low angle first:
2θ = 28.83°, I 43; 2θ = 29.74°, I 38; 2θ = 31.87°, I 30; 2θ = 32.03°, I 100; 2θ = 32.69°, I 64; 2θ = 33.45°, I 68; 2θ = 33.71°, I 49; 2θ = 38.19°, I 32; 2θ = 38.92°, I 29; 2θ = 55.79°, I 42

Structural model:
```
44
Lattice="6.7923 0.0000 0.0000 0.0000 12.9973 0.0000 0.0000 0.0000 9.2529" Properties=species:S:1:pos:R:3 pbc="T T T"
Ba 1.6981 0.0000 1.1501
Ba 1.6981 6.4986 3.4764
Ba 5.0942 0.0000 8.1028
Ba 5.0942 6.4986 5.7766
Ag 0.0000 0.0000 4.6265
Ag 0.0000 6.4986 0.0000
Ag 0.4948 3.0697 4.2700
Ag 0.4948 3.4289 0.3565
Ag 0.6208 9.7480 2.3132
Ag 1.4375 8.1379 6.7971
Ag 1.4375 11.3580 7.0823
Ag 1.9586 1.6393 7.0823
Ag 1.9586 4.8593 6.7971
Ag 2.7753 3.2493 2.3132
Ag 2.9014 9.5683 0.3565
Ag 2.9014 9.9276 4.2700
Ag 3.3961 0.0000 4.6265
Ag 3.3961 6.4986 0.0000
Ag 3.8909 3.0697 4.9829
Ag 3.8909 3.4289 8.8964
Ag 4.0170 9.7480 6.9397
Ag 4.8336 8.1379 2.4558
Ag 4.8336 11.3580 2.1706
Ag 5.3547 1.6393 2.1706
Ag 5.3547 4.8593 2.4558
Ag 6.1714 3.2493 6.9397
Ag 6.2975 9.5683 8.8964
Ag 6.2975 9.9276 4.9829
O 0.3220 1.6819 8.4352
O 0.3220 4.8167 5.4442
O 0.4751 1.3491 3.0738
O 0.4751 5.1496 1.5526
O 2.9210 7.8477 1.5526
O 2.9210 11.6482 3.0738
O 3.0741 8.1806 5.4442
O 3.0741 11.3153 8.4352
O 3.7181 1.6819 0.8177
O 3.7181 4.8167 3.8088
O 3.8713 1.3491 6.1791
O 3.8713 5.1496 7.7003
O 6.3171 7.8477 7.7003
O 6.3171 11.6482 6.1791
O 6.4702 8.1806 3.8088
O 6.4702 11.3153 0.8177
```


3.
The following is a simulated X-ray diffraction stick pattern of Sr6Sb3O. It was derived from the PBE geometry in Alexandria, using λ = 1.5418 Å (Cu Kα).
Kinematic intensities with the Lorentz-polarization factor, no thermal factor.

The 10 most intense peaks (2θ = 5–70°), low angle first:
2θ = 14.62°, I 24; 2θ = 21.33°, I 87; 2θ = 21.60°, I 38; 2θ = 26.93°, I 23; 2θ = 29.40°, I 83; 2θ = 31.99°, I 96; 2θ = 32.53°, I 100; 2θ = 35.33°, I 52; 2θ = 42.57°, I 28; 2θ = 54.58°, I 33

Structural model:
```
20
Lattice="6.3714 -7.9257 0.0000 6.3714 7.9257 0.0000 0.0000 0.0000 7.6485" Properties=species:S:1:pos:R:3 pbc="T T T"
Sr 6.3714 7.1039 3.8242
Sr 4.5031 3.8061 4.0093
Sr 6.3714 4.4971 0.5176
Sr 4.3445 0.2775 0.4788
Sr 4.3445 -0.2775 4.3031
Sr 8.2397 3.8061 4.0093
Sr 4.5031 -3.8061 0.1851
Sr 8.3983 0.2775 0.4788
Sr 8.3983 -0.2775 4.3031
Sr 6.3714 -4.4971 4.3418
Sr 8.2397 -3.8061 0.1851
Sr 6.3714 -7.1039 0.0000
Sb 2.2696 1.6899 2.5466
Sb 2.2696 -1.6899 6.3708
Sb 6.3714 1.8487 6.0007
Sb 6.3714 -1.8487 2.1765
Sb 10.4732 1.6899 2.5466
Sb 10.4732 -1.6899 6.3708
O 6.3714 4.8759 2.9061
O 6.3714 -4.8759 6.7304
```


4.
The following is a simulated X-ray diffraction stick pattern of MnH6Rh5. It was derived from the PBE geometry in Alexandria, using λ = 1.5418 Å (Cu Kα).
Kinematic intensities with the Lorentz-polarization factor, no thermal factor.

The 10 most intense peaks (2θ = 5–70°), low angle first:
2θ = 16.06°, I 3; 2θ = 32.44°, I 80; 2θ = 37.39°, I 57; 2θ = 38.38°, I 100; 2θ = 50.23°, I 23; 2θ = 50.42°, I 23; 2θ = 50.97°, I 45; 2θ = 51.24°, I 45; 2θ = 67.93°, I 9; 2θ = 68.10°, I 18

Structural model:
```
12
Lattice="4.6931 0.0000 0.0000 2.2285 4.1306 0.0000 0.0366 -0.0001 5.5195" Properties=species:S:1:pos:R:3 pbc="T T T"
Mn 0.0000 0.0000 0.0000
H 1.3133 0.7802 1.4344
H 1.3345 0.7778 4.0811
H 3.4891 2.0726 4.1818
H 3.4690 2.0580 1.3377
H 5.6237 3.3527 1.4384
H 5.6449 3.3504 4.0851
Rh 0.0183 0.0000 2.7597
Rh 2.3113 1.3571 5.5036
Rh 2.3463 1.3895 2.7433
Rh 4.6119 2.7411 2.7762
Rh 4.6468 2.7734 0.0159
```